# 1
Computed powder XRD pattern
Compound: Co2CuPd6
Radiation: a wavelength of 1.5418 Å
Structure: the GGA-PBE geometry in Alexandria

Most intense lines, 2θ from 10° to 90°, by angle:
40.7 deg, intensity 100.0; 46.4 deg, intensity 17.1; 46.8 deg, intensity 16.9; 48.6 deg, intensity 13.8; 82.1 deg, intensity 11.8; 82.7 deg, intensity 11.9

Cell: 8.1262 6.1819 5.9450 Å, 84.12 49.18 46.70°
Atoms (fractional coordinates):
Co  0.1747  0.1747  0.8253
Co  0.8253  0.8253  0.1747
Cu  0.5000  0.5000  0.5000
Pd  0.1560  0.8440  0.1560
Pd  0.1754  0.4924  0.5076
Pd  0.4924  0.1754  0.8246
Pd  0.5076  0.8246  0.1754
Pd  0.8246  0.5076  0.4924
Pd  0.8440  0.1560  0.8440



# 2
Computed powder XRD pattern
Compound: CoCu2Pd5Pt
Radiation: a wavelength of 1.5418 Å
Structure: the GGA-PBE geometry in Alexandria

Most intense lines, 2θ from 10° to 90°, by angle:
23.9 deg, intensity 16.6; 38.1 deg, intensity 100.0; 42.3 deg, intensity 40.2; 46.8 deg, intensity 14.9; 49.1 deg, intensity 16.0; 74.5 deg, intensity 25.7

Cell: 8.7077 8.7077 8.7077 Å, 139.36 139.36 58.83°
Atoms (fractional coordinates):
Co  0.2500  0.2500  0.0000
Co  0.7500  0.7500  0.0000
Cu  0.1257  0.6257  0.7514
Cu  0.3743  0.1257  0.5000
Cu  0.6257  0.8743  0.5000
Cu  0.8743  0.3743  0.2486
Pd  0.0000  0.0000  0.0000
Pd  0.0957  0.1220  0.5000
Pd  0.1220  0.6220  0.0263
Pd  0.3780  0.4043  0.5000
Pd  0.4043  0.9043  0.0263
Pd  0.5000  0.5000  0.0000
Pd  0.5957  0.0957  0.9737
Pd  0.6220  0.5957  0.5000
Pd  0.8780  0.3780  0.9737
Pd  0.9043  0.8780  0.5000
Pt  0.2500  0.7500  0.5000
Pt  0.7500  0.2500  0.5000



# 3
Computed powder XRD pattern
Compound: Th2CoCuPd
Radiation: a wavelength of 1.5418 Å
Structure: the GGA-PBE geometry in Alexandria

Most intense lines, 2θ from 10° to 90°, by angle:
32.4 deg, intensity 47.3; 33.4 deg, intensity 100.0; 34.8 deg, intensity 92.1; 36.6 deg, intensity 51.5; 39.8 deg, intensity 58.5; 46.2 deg, intensity 46.2

Cell: 7.4010 3.9283 7.7600 Å, 90.00 112.54 90.00°
Atoms (fractional coordinates):
Th  0.0244  0.2500  0.2183
Th  0.3678  0.7500  0.6376
Th  0.6322  0.2500  0.3624
Th  0.9756  0.7500  0.7817
Co  0.1017  0.2500  0.6106
Co  0.8983  0.7500  0.3894
Cu  0.3623  0.2500  0.9429
Cu  0.6377  0.7500  0.0571
Pd  0.3137  0.7500  0.1802
Pd  0.6863  0.2500  0.8198



# 4
Computed powder XRD pattern
Compound: Pm4Co2Cu
Radiation: a wavelength of 1.5418 Å
Structure: the GGA-PBE geometry in Alexandria

Most intense lines, 2θ from 10° to 90°, by angle:
26.6 deg, intensity 99.8; 32.7 deg, intensity 100.0; 32.8 deg, intensity 95.2; 34.1 deg, intensity 65.0; 40.8 deg, intensity 49.0; 41.5 deg, intensity 51.5

Cell: 7.0969 7.0969 7.4674 Å, 105.76 105.76 75.62°
Atoms (fractional coordinates):
Pm  0.0000  0.0000  0.0000
Pm  0.0023  0.0023  0.5153
Pm  0.4573  0.9841  0.8689
Pm  0.4668  0.9988  0.3753
Pm  0.4891  0.4891  0.9923
Pm  0.4984  0.4984  0.5173
Pm  0.9841  0.4573  0.8689
Pm  0.9988  0.4668  0.3753
Co  0.1871  0.6949  0.7245
Co  0.2779  0.2779  0.1502
Co  0.2788  0.2788  0.6427
Co  0.6949  0.1871  0.7245
Cu  0.7785  0.7785  0.1501
Cu  0.7882  0.7882  0.6472